For Pm4PrSmTm2, a DFT-relaxed cell (PBE, Alexandria) gives the simulated XRD peak list in this record (Cu Kα (λ = 1.5418 Å)).

Cell and atoms:
Lattice parameters (Å, degrees): 5.111 5.132 10.175 90.00 90.07 90.00
Space group P2/m (No. 10)
Asymmetric unit:
Pm (0.000, 0.000, 0.248) x2
Pm (0.500, 0.500, 0.249) x2
Pr (0.500, 0.000, 0.500) x1
Sm (0.000, 0.500, 0.000) x1
Tm (0.000, 0.500, 0.500) x1
Tm (0.500, 0.000, 0.000) x1

Most intense lines, 2θ = 10–90°, sorted by position:
| d [Å] | I/Imax |
| --- | --- |
| 2.950 | 100 |
| 2.566 | 17 |
| 2.556 | 17 |
| 2.544 | 17 |
| 1.811 | 12 |
| 1.806 | 18 |
| 1.546 | 15 |
| 1.541 | 14 |
| 1.536 | 14 |
| 1.475 | 12 |

***

For MgGa4Ag2, a DFT-relaxed cell (PBE, Alexandria) gives the simulated XRD peak list in this record (Cu Kα (λ = 1.5418 Å)).

Cell and atoms:
Lattice parameters (Å, degrees): 5.535 8.722 5.629 90.00 90.00 90.00
Space group Imm2 (No. 44)
Asymmetric unit:
Mg (0.000, 0.000, 0.000) x2
Ga (0.233, 0.218, 0.514) x8
Ag (0.000, 0.500, 0.267) x2
Ag (0.000, 0.500, 0.757) x2

Most intense lines, 2θ = 10–90°, sorted by position:
| d [Å] | I/Imax |
| --- | --- |
| 4.673 | 85 |
| 2.574 | 23 |
| 2.411 | 54 |
| 2.365 | 86 |
| 2.337 | 100 |
| 2.181 | 32 |
| 1.973 | 53 |
| 1.899 | 21 |
| 1.463 | 26 |
| 1.205 | 22 |

***

For PmZrUO6, a DFT-relaxed cell (PBE, Alexandria) gives the simulated XRD peak list in this record (Cu Kα (λ = 1.5418 Å)).

Cell and atoms:
Lattice parameters (Å, degrees): 5.6905 5.6905 9.7930 90.00 90.00 120.00
Space group P-31c (No. 163)
Asymmetric unit:
Pm (0.0000, 0.0000, 0.0000) x2
Zr (0.3333, 0.6667, 0.2500) x2
U (0.3333, 0.6667, 0.7500) x2
O (0.0034, 0.3543, 0.1378) x12

Most intense lines, 2θ = 10–90°, sorted by position:
| d [Å] | I/Imax |
| --- | --- |
| 4.896 | 14 |
| 4.402 | 23 |
| 3.473 | 100 |
| 2.845 | 54 |
| 2.460 | 14 |
| 2.201 | 28 |
| 1.856 | 47 |
| 1.741 | 28 |
| 1.643 | 18 |
| 1.230 | 12 |